For CaCe2B2O6, a structure optimized by DFT (GGA-PBE) gives the theoretical PXRD pattern in this record (Cu Kα, 1.54184 Å).

Principal peaks in the range 2θ = 10–90°, most intense first:
hkl 0 1 1, 3.721 Å, 23.91 deg, I = 100; hkl 1 1 0, 2.850 Å, 31.39 deg, I = 71; hkl 2 0 1, 2.263 Å, 39.84 deg, I = 56; hkl 3 -2 1, 1.772 Å, 51.58 deg, I = 42; hkl 0 1 2, 2.457 Å, 36.58 deg, I = 41; hkl 1 0 0, 4.936 Å, 17.97 deg, I = 40; hkl 0 0 1, 5.664 Å, 15.64 deg, I = 25; hkl 0 0 2, 2.832 Å, 31.59 deg, I = 24; hkl 1 1 2, 2.009 Å, 45.13 deg, I = 22; hkl 2 0 2, 1.861 Å, 48.95 deg, I = 22

```
CaCe2B2O6
1.0
5.6996 0.0000 0.0000
-2.8498 4.9360 0.0000
0.0000 0.0000 5.6645
Ca Ce B O
1 2 2 6
Direct
0.0000 0.0000 0.0000
0.3333 0.6667 0.2137
0.6667 0.3333 0.7863
0.3333 0.6667 0.7317
0.6667 0.3333 0.2683
0.1143 0.7140 0.7948
0.2860 0.4003 0.7948
0.4003 0.1143 0.2052
0.5997 0.8857 0.7948
0.7140 0.5997 0.2052
0.8857 0.2860 0.2052
```